Starting from a structure optimized by DFT (PBE), the powder diffraction line list of V12CuGe3 was calculated for Cu Kα.

Crystal structure
Unit cell a=4.751 b=4.764 c=9.488 alpha=90.00 beta=90.00 gamma=90.00
Positions (direct):
V 0.000 0.000 0.119
V 0.000 0.000 0.370
V 0.000 0.000 0.630
V 0.000 0.000 0.881
V 0.252 0.500 0.249
V 0.252 0.500 0.751
V 0.500 0.249 0.500
V 0.500 0.254 0.000
V 0.500 0.746 0.000
V 0.500 0.751 0.500
V 0.748 0.500 0.249
V 0.748 0.500 0.751
Cu 0.000 0.500 0.000
Ge 0.000 0.500 0.500
Ge 0.500 0.000 0.251
Ge 0.500 0.000 0.749

Main lines, by angle (2θ = 15–90°):
| d [Å] | Position (°2θ) | intensity | h k l |
| --- | --- | --- | --- |
| 3.361 | 26.52 | 12 | 1 0 2 |
| 2.382 | 37.77 | 24 | 0 2 0 |
| 2.374 | 37.90 | 47 | 0 0 4 |
| 2.128 | 42.48 | 64 | 0 2 2 |
| 2.123 | 42.58 | 63 | 1 0 4 |
| 1.941 | 46.79 | 100 | 1 2 2 |
| 1.939 | 46.87 | 48 | 1 1 4 |
| 1.320 | 71.49 | 12 | 2 3 0 |
| 1.317 | 71.66 | 12 | 0 2 6 |
| 1.271 | 74.66 | 34 | 1 3 4 |
| 1.269 | 74.80 | 34 | 2 1 6 |
| 1.191 | 80.67 | 7 | 0 4 0 |